Simulated powder diffractogram of Ba2AlNi3O8 for λ = 1.5418 Å (Cu Kα), from a PBE+U-relaxed structure.
Neutral-atom scattering factors, no anomalous dispersion.

Crystal structure
Cell lengths 3.808, 3.808, 11.802 Å; angles 90.00, 90.00, 90.00 degrees
Space group P4/mmm (No. 123)
Inequivalent atoms, fractional coordinates:
Ba  0.000  0.000  0.173 x2
Al  0.000  0.000  0.500 x1
Ni  0.500  0.500  0.000 x1
Ni  0.500  0.500  0.357 x2
O  0.000  0.500  0.000 x2
O  0.000  0.500  0.399 x4
O  0.500  0.500  0.190 x2

Peak list (6 most intense, 10° ≤ 2θ ≤ 90°, by intensity)
32.73 deg, rel. 100.0, (1 0 3); 33.27 deg, rel. 43.0, (1 1 0); 59.11 deg, rel. 35.9, (2 1 3); 47.77 deg, rel. 31.8, (2 0 0); 58.07 deg, rel. 20.5, (1 1 6); 27.88 deg, rel. 13.5, (1 0 2)